Li5FeNi4O10: computed powder diffraction line list (Cu Ka), based on the GGA+U geometry in the Materials Project.

Main lines, low angle first (2θ = 15–90°):
d_spacing	I (rel.)	hkl
4.793	100	0 0 15
2.480	44	0 1 5
2.376	16	1 0 10
2.062	75	0 1 20
1.894	15	1 0 25
1.592	14	0 1 35
1.463	20	1 0 40
1.454	21	1 1 0
1.391	15	1 1 15
1.188	9	2 0 20

Crystal structure
Lattice parameters (Å, degrees): 2.9075 2.9075 71.8984 90.00 90.00 120.00
Space group R-3m (No. 166, hexagonal axes)
Unique sites:
1 Li 0.0000 0.0000 0.0000 x3
2 Li 0.0000 0.0000 0.2006 x6
3 Li 0.0000 0.0000 0.3999 x6
4 Fe 0.0000 0.0000 0.5000 x3
5 Ni 0.0000 0.0000 0.0996 x6
6 Ni 0.0000 0.0000 0.3000 x6
7 O 0.0000 0.0000 0.0484 x6
8 O 0.0000 0.0000 0.1509 x6
9 O 0.0000 0.0000 0.2488 x6
10 O 0.0000 0.0000 0.3516 x6
11 O 0.0000 0.0000 0.4478 x6